For MgCrSnF2, a GGA+U-relaxed structure gives the computed powder X-ray diffraction pattern in this record (CuKα).

Structure:
Cell lengths 3.8683, 3.8683, 7.2615 Å; angles 90.00, 90.00, 90.00 degrees
Space group P4/mmm (No. 123)
Unique sites:
Mg 0.0000 0.0000 0.0000 (multiplicity 1)
Cr 0.5000 0.5000 0.5000 (multiplicity 1)
Sn 0.0000 0.0000 0.5000 (multiplicity 1)
F 0.0000 0.5000 0.0000 (multiplicity 2)

The 6 most intense peaks (10 to 90 degrees two-theta), sorted by position:
(hkl)	Position (°2θ)	I_rel
0 0 1	12.2	94
0 0 2	24.5	100
1 1 1	35.1	96
1 1 2	41.3	45
0 0 4	50.3	46
2 0 2	53.7	43